1.
This entry pairs a crystal structure of Na2VO3 with its simulated X-ray diffraction stick pattern. Radiation: a wavelength of 1.5418 Å. Structure: a structure optimized by DFT (PBE+U).
Lines closer than 0.1° are merged.

Largest 10 diffraction maxima, by intensity, 2θ from 15° to 90°:
- 2θ = 40.01°, intensity 100
- 2θ = 16.36°, intensity 48
- 2θ = 40.74°, intensity 43
- 2θ = 56.76°, intensity 25
- 2θ = 60.05°, intensity 22
- 2θ = 35.02°, intensity 21
- 2θ = 19.94°, intensity 15
- 2θ = 33.06°, intensity 14
- 2θ = 56.92°, intensity 14
- 2θ = 58.80°, intensity 13

Structural model:
a b c (Å): 5.3040 9.4226 5.6901
angles (deg): 90.00 107.76 90.00
Space group C2/m (No. 12)
Symmetry-distinct sites (fractional):
Na 0.0000 0.0000 0.0000 [2 per cell]
Na 0.0000 0.1593 0.5000 [4 per cell]
Na 0.0000 0.5000 0.5000 [2 per cell]
V 0.0000 0.3387 0.0000 [4 per cell]
O 0.1963 0.5000 0.2036 [4 per cell]
O 0.2262 0.3149 0.7993 [8 per cell]

2.
This entry pairs a crystal structure of K2Na2NbW3O12 with its simulated X-ray diffraction stick pattern. Radiation: a wavelength of 1.5418 Å. Structure: a structure optimized by DFT (PBE+U).
Lines closer than 0.1° are merged.

Largest 10 diffraction maxima, by intensity, 2θ from 15° to 90°:
- 2θ = 31.58°, intensity 100
- 2θ = 22.15°, intensity 55
- 2θ = 22.26°, intensity 27
- 2θ = 56.18°, intensity 26
- 2θ = 50.90°, intensity 24
- 2θ = 45.18°, intensity 23
- 2θ = 66.00°, intensity 13
- 2θ = 56.34°, intensity 13
- 2θ = 51.10°, intensity 12
- 2θ = 45.43°, intensity 11

Structural model:
a b c (Å): 3.9929 8.0310 8.0244
angles (deg): 90.00 90.00 90.00
Space group Pmm2 (No. 25)
Symmetry-distinct sites (fractional):
K 0.0000 0.2488 0.0000 [2 per cell]
Na 0.0000 0.2487 0.5027 [2 per cell]
Nb 0.5000 0.0000 0.7485 [1 per cell]
W 0.5000 0.0000 0.2531 [1 per cell]
W 0.5000 0.5000 0.2533 [1 per cell]
W 0.5000 0.5000 0.7492 [1 per cell]
O 0.0000 0.0000 0.2552 [1 per cell]
O 0.0000 0.0000 0.7472 [1 per cell]
O 0.0000 0.5000 0.2553 [1 per cell]
O 0.0000 0.5000 0.7474 [1 per cell]
O 0.5000 0.0000 0.0029 [1 per cell]
O 0.5000 0.0000 0.5007 [1 per cell]
O 0.5000 0.2413 0.2558 [2 per cell]
O 0.5000 0.2511 0.7471 [2 per cell]
O 0.5000 0.5000 0.5089 [1 per cell]
O 0.5000 0.5000 0.9922 [1 per cell]